No. 1
Computed powder diffractogram
Compound: Ca8TiMn7O23
Radiation: λ = 1.5418 Å (Cu Kα)
Structure: a structure optimized by DFT (GGA+U)
Peak positions follow from Bragg's law for the DFT cell and can differ from measured ones.

Crystal structure
abc: 7.6522 7.6522 7.6501
angles: 90.00 90.00 90.00
Space group P4mm (No. 99)
Inequivalent atoms, fractional coordinates:
Ca 0.2373 0.2373 0.0000
Ca 0.2381 0.2381 0.4932
Ti 0.5000 0.5000 0.7347
Mn 0.0000 0.0000 0.2489
Mn 0.0000 0.0000 0.7488
Mn 0.0000 0.5000 0.2465
Mn 0.0000 0.5000 0.7552
Mn 0.5000 0.5000 0.2475
O 0.0000 0.0000 0.4988
O 0.0000 0.0000 0.9995
O 0.0000 0.2492 0.2523
O 0.0000 0.2499 0.7471
O 0.0000 0.5000 0.0002
O 0.0000 0.5000 0.5002
O 0.2518 0.5000 0.2264
O 0.2521 0.5000 0.7746
O 0.5000 0.5000 0.5036

Top 10 peaks for 5 to 70 degrees two-theta, by angle:
hkl 1 0 0, d = 7.652 Å, I 3; hkl 0 0 2, d = 3.826 Å, I 17; hkl 2 0 2, d = 2.705 Å, I 100; hkl 2 2 2, d = 2.209 Å, I 6; hkl 3 2 0, d = 2.122 Å, I 1; hkl 4 0 0, d = 1.913 Å, I 50; hkl 4 0 2, d = 1.711 Å, I 6; hkl 4 2 2, d = 1.562 Å, I 34; hkl 5 0 2, d = 1.421 Å, I 1; hkl 4 4 0, d = 1.353 Å, I 25


No. 2
Computed powder diffractogram
Compound: MgZn2Fe4O8
Radiation: λ = 1.5418 Å (Cu Kα)
Structure: a structure optimized by DFT (GGA+U)
Peak positions follow from Bragg's law for the DFT cell and can differ from measured ones.

Crystal structure
abc: 10.4507 5.9830 6.3104
angles: 90.00 123.34 90.00
Space group C2/m (No. 12)
Inequivalent atoms, fractional coordinates:
Mg 0.0000 0.0000 0.0000
Zn 0.1650 0.0000 0.4657
Fe 0.0000 0.5000 0.0000
Fe 0.0000 0.5000 0.5000
Fe 0.2500 0.2500 0.0000
O 0.0061 0.2563 0.2486
O 0.2230 0.5000 0.1808
O 0.2381 0.5000 0.7349

Top 10 peaks for 5 to 70 degrees two-theta, by angle:
hkl 3 1 -1, d = 3.010 Å, I 45; hkl 0 0 2, d = 2.636 Å, I 41; hkl 3 1 0, d = 2.614 Å, I 100; hkl 0 2 1, d = 2.602 Å, I 54; hkl 2 2 -1, d = 2.561 Å, I 54; hkl 4 0 0, d = 2.183 Å, I 29; hkl 2 2 -2, d = 2.169 Å, I 45; hkl 2 2 -3, d = 1.703 Å, I 26; hkl 4 0 -4, d = 1.574 Å, I 42; hkl 6 2 -2, d = 1.505 Å, I 46


No. 3
Computed powder diffractogram
Compound: Ca3CoO6
Radiation: λ = 1.5418 Å (Cu Kα)
Structure: a structure optimized by DFT (GGA+U)
Peak positions follow from Bragg's law for the DFT cell and can differ from measured ones.

Crystal structure
abc: 6.3997 6.4052 12.7081
angles: 87.66 87.61 87.66
Space group P1 (No. 1)
Inequivalent atoms, fractional coordinates:
Ca 0.0000 0.0000 0.0000
Ca 0.0007 0.9944 0.5011
Ca 0.1484 0.8523 0.7538
Ca 0.1508 0.8535 0.2512
Ca 0.3506 0.3512 0.6521
Ca 0.3559 0.3485 0.1514
Ca 0.4973 0.1999 0.4019
Ca 0.4997 0.2006 0.8987
Ca 0.6399 0.7109 0.3262
Ca 0.6514 0.6998 0.8266
Ca 0.8500 0.4945 0.5790
Ca 0.8560 0.4998 0.0732
Co 0.2441 0.6028 0.4510
Co 0.2487 0.6037 0.9538
Co 0.7457 0.1020 0.6985
Co 0.7501 0.1068 0.2017
O 0.0348 0.1809 0.6641
O 0.0359 0.1801 0.1649
O 0.1691 0.3124 0.4889
O 0.1703 0.3174 0.9870
O 0.1757 0.6779 0.5946
O 0.1814 0.6648 0.0891
O 0.3094 0.5188 0.8225
O 0.3181 0.8759 0.4135
O 0.3217 0.5254 0.3148
O 0.3266 0.8731 0.9170
O 0.4761 0.0252 0.7357
O 0.4760 0.0328 0.2388
O 0.5088 0.5356 0.4916
O 0.5316 0.5301 0.9921
O 0.6695 0.3793 0.7363
O 0.6730 0.1741 0.0581
O 0.6844 0.1697 0.5635
O 0.6884 0.3745 0.2339
O 0.8150 0.8417 0.1602
O 0.8181 0.8189 0.6597
O 0.8241 0.0281 0.3385
O 0.8312 0.0397 0.8297
O 0.9715 0.6809 0.9162
O 0.9766 0.6620 0.4186

Top 10 peaks for 5 to 70 degrees two-theta, by angle:
hkl 0 1 2, d = 4.600 Å, I 100; hkl 2 0 2, d = 2.903 Å, I 27; hkl 1 0 4, d = 2.887 Å, I 13; hkl 1 -2 2, d = 2.556 Å, I 35; hkl 1 1 -4, d = 2.546 Å, I 17; hkl 1 3 0, d = 2.045 Å, I 15; hkl 1 -3 0, d = 1.997 Å, I 11; hkl 1 3 -2, d = 1.919 Å, I 46; hkl 1 -1 6, d = 1.909 Å, I 20; hkl 2 3 2, d = 1.762 Å, I 9


No. 4
Computed powder diffractogram
Compound: Li4Co3Sn5O16
Radiation: λ = 1.5418 Å (Cu Kα)
Structure: a structure optimized by DFT (GGA+U)
Peak positions follow from Bragg's law for the DFT cell and can differ from measured ones.

Crystal structure
abc: 6.1423 9.8646 10.5920
angles: 89.47 89.72 89.75
Space group P1 (No. 1)
Inequivalent atoms, fractional coordinates:
Li 0.0000 0.0000 0.0000
Li 0.0032 0.4861 0.3377
Li 0.0135 0.3930 0.6673
Li 0.0373 0.9061 0.6581
Li 0.4955 0.4854 0.8339
Li 0.5021 0.9978 0.5005
Li 0.5178 0.3919 0.1688
Li 0.5401 0.9054 0.1581
Co 0.2579 0.6748 0.5828
Co 0.2600 0.1802 0.7502
Co 0.4982 0.1782 0.0005
Co 0.7571 0.1771 0.2564
Co 0.7610 0.6755 0.0845
Co 0.9986 0.1776 0.5009
Sn 0.2519 0.1756 0.2566
Sn 0.2521 0.6771 0.0850
Sn 0.4937 0.9088 0.8356
Sn 0.4999 0.3956 0.5065
Sn 0.5065 0.6745 0.3375
Sn 0.7482 0.1751 0.7562
Sn 0.7482 0.6776 0.5847
Sn 0.9924 0.9059 0.3354
Sn 0.9928 0.3943 0.0097
Sn 0.9992 0.6773 0.8386
O 0.0013 0.5779 0.6709
O 0.0180 0.0914 0.6659
O 0.0204 0.0426 0.1836
O 0.2120 0.0524 0.4213
O 0.2254 0.5460 0.9294
O 0.2465 0.7929 0.7547
O 0.2525 0.2909 0.5967
O 0.2575 0.3023 0.0952
O 0.2651 0.0549 0.8977
O 0.2656 0.7964 0.2493
O 0.2827 0.5442 0.4222
O 0.4877 0.2818 0.8277
O 0.4980 0.2962 0.3357
O 0.5076 0.7905 0.4976
O 0.5106 0.5447 0.6524
O 0.5114 0.7909 0.0081
O 0.5141 0.0446 0.6807
O 0.5193 0.0869 0.1771
O 0.5210 0.5793 0.1631
O 0.7263 0.0431 0.9111
O 0.7348 0.5460 0.4269
O 0.7516 0.7875 0.2412
O 0.7526 0.2882 0.1008
O 0.7599 0.7974 0.7493
O 0.7646 0.0505 0.3987
O 0.7714 0.5559 0.9394
O 0.7726 0.2902 0.5830
O 0.9871 0.3014 0.8351
O 0.9885 0.2750 0.3413
O 0.9898 0.5577 0.1528
O 0.9902 0.7844 0.0076
O 0.9987 0.7956 0.5037

Top 10 peaks for 5 to 70 degrees two-theta, by angle:
hkl 0 2 0, d = 4.932 Å, I 50; hkl 0 1 2, d = 4.691 Å, I 49; hkl -1 1 1, d = 4.666 Å, I 100; hkl 1 2 -1, d = 3.609 Å, I 37; hkl 1 3 -1, d = 2.792 Å, I 30; hkl 2 -2 0, d = 2.603 Å, I 31; hkl 1 2 -3, d = 2.591 Å, I 29; hkl 2 1 -2, d = 2.562 Å, I 63; hkl 2 -3 2, d = 2.063 Å, I 35; hkl 2 0 6, d = 1.535 Å, I 34